# SrTiInF6
Calculated X-ray diffraction stick pattern, Cu Kα (λ = 1.5418 Å). Input: a PBE-relaxed structure.

Structure:
```
data_SrTiInF6
_cell_length_a 6.133
_cell_length_b 10.518
_cell_length_c 5.422
_cell_angle_alpha 90.00
_cell_angle_beta 91.04
_cell_angle_gamma 90.00
_symmetry_space_group_name_H-M 'C 1 2 1'
_symmetry_Int_Tables_number 5
loop_
_symmetry_equiv_pos_as_xyz
'x,y,z'
'-x,y,-z'
'x+1/2,y+1/2,z'
'-x+1/2,y+1/2,-z'
loop_
_atom_site_label
_atom_site_type_symbol
_atom_site_fract_x
_atom_site_fract_y
_atom_site_fract_z
Sr1 Sr 0.000 0.000 0.000
Ti1 Ti 0.000 0.668 0.000
In1 In 0.000 0.348 0.500
F1 F 0.129 0.810 0.207
F2 F 0.154 0.530 0.206
F3 F 0.240 0.158 0.199
```

The 10 most intense peaks (15° ≤ 2θ ≤ 90°), sorted by position:
Position (°2θ)	I (rel.)
23.3	53
23.6	100
29.1	15
29.3	33
33.9	15
38.0	27
44.2	14
45.0	34
48.8	17
51.8	15

=====

# K3UTe3
Calculated X-ray diffraction stick pattern, Cu Kα (λ = 1.5418 Å). Input: a PBE-relaxed structure.

Structure:
```
data_K3UTe3
_cell_length_a 9.552
_cell_length_b 14.389
_cell_length_c 9.306
_cell_angle_alpha 90.00
_cell_angle_beta 108.60
_cell_angle_gamma 90.00
_symmetry_space_group_name_H-M 'C 1 2/m 1'
_symmetry_Int_Tables_number 12
loop_
_symmetry_equiv_pos_as_xyz
'x,y,z'
'-x,-y,-z'
'-x,y,-z'
'x,-y,z'
'x+1/2,y+1/2,z'
'-x+1/2,-y+1/2,-z'
'-x+1/2,y+1/2,-z'
'x+1/2,-y+1/2,z'
loop_
_atom_site_label
_atom_site_type_symbol
_atom_site_fract_x
_atom_site_fract_y
_atom_site_fract_z
K1 K 0.000 0.169 0.000
K2 K 0.000 0.288 0.500
K3 K 0.096 0.500 0.885
U1 U 0.109 0.000 0.607
Te1 Te 0.171 0.000 0.311
Te2 Te 0.215 0.345 0.218
```

The 10 most intense peaks (15° ≤ 2θ ≤ 90°), sorted by position:
Position (°2θ)	I (rel.)
15.9	40
21.0	32
23.2	56
24.6	100
35.5	28
35.7	26
37.5	27
39.7	25
45.7	25
47.5	25

=====

# NdTm4Sc3
Calculated X-ray diffraction stick pattern, Cu Kα (λ = 1.5418 Å). Input: a PBE-relaxed structure.

Structure:
```
data_NdTm4Sc3
_cell_length_a 10.868
_cell_length_b 7.000
_cell_length_c 6.023
_cell_angle_alpha 90.00
_cell_angle_beta 90.00
_cell_angle_gamma 90.00
_symmetry_space_group_name_H-M 'P m n 21'
_symmetry_Int_Tables_number 31
loop_
_symmetry_equiv_pos_as_xyz
'x,y,z'
'-x+1/2,-y,z+1/2'
'-x,y,z'
'x+1/2,-y,z+1/2'
loop_
_atom_site_label
_atom_site_type_symbol
_atom_site_fract_x
_atom_site_fract_y
_atom_site_fract_z
Nd1 Nd 0.000 0.119 0.000
Tm1 Tm 0.000 0.372 0.498
Tm2 Tm 0.000 0.629 0.994
Tm3 Tm 0.246 0.630 0.337
Sc1 Sc 0.000 0.876 0.502
Sc2 Sc 0.249 0.122 0.331
```

The 10 most intense peaks (15° ≤ 2θ ≤ 90°), sorted by position:
Position (°2θ)	I (rel.)
25.5	21
29.5	23
33.0	35
33.9	100
34.0	47
44.8	17
52.5	19
59.5	29
63.4	21
63.9	15

=====

# K3Ag9Sb4S12
Calculated X-ray diffraction stick pattern, Cu Kα (λ = 1.5418 Å). Input: a PBE-relaxed structure.

Structure:
```
data_K3Ag9Sb4S12
_cell_length_a 10.988
_cell_length_b 10.988
_cell_length_c 11.774
_cell_angle_alpha 90.00
_cell_angle_beta 90.00
_cell_angle_gamma 90.00
_symmetry_space_group_name_H-M 'I -4'
_symmetry_Int_Tables_number 82
loop_
_symmetry_equiv_pos_as_xyz
'x,y,z'
'y,-x,-z'
'-x,-y,z'
'-y,x,-z'
'x+1/2,y+1/2,z+1/2'
'y+1/2,-x+1/2,-z+1/2'
'-x+1/2,-y+1/2,z+1/2'
'-y+1/2,x+1/2,-z+1/2'
loop_
_atom_site_label
_atom_site_type_symbol
_atom_site_fract_x
_atom_site_fract_y
_atom_site_fract_z
K1 K 0.000 0.000 0.000
K2 K 0.000 0.000 0.335
Ag1 Ag 0.000 0.500 0.250
Ag2 Ag 0.158 0.668 0.672
Ag3 Ag 0.171 0.684 0.330
Sb1 Sb 0.114 0.377 0.513
S1 S 0.042 0.753 0.839
S2 S 0.043 0.727 0.154
S3 S 0.165 0.817 0.502
```

The 10 most intense peaks (15° ≤ 2θ ≤ 90°), sorted by position:
Position (°2θ)	I (rel.)
25.6	33
29.1	100
30.3	21
34.5	20
34.6	14
37.4	11
40.9	25
44.8	12
50.4	22
53.6	13

=====

# Ac3B7Ru
Calculated X-ray diffraction stick pattern, Cu Kα (λ = 1.5418 Å). Input: a PBE-relaxed structure.

Structure:
```
data_Ac3B7Ru
_cell_length_a 3.686
_cell_length_b 16.906
_cell_length_c 10.463
_cell_angle_alpha 90.00
_cell_angle_beta 90.00
_cell_angle_gamma 90.00
_symmetry_space_group_name_H-M 'C m c m'
_symmetry_Int_Tables_number 63
_symmetry_space_group_name_Hall '-C 2c 2'
loop_
_atom_site_label
_atom_site_type_symbol
_atom_site_fract_x
_atom_site_fract_y
_atom_site_fract_z
Ac1 Ac 0.000 0.097 0.054
Ac2 Ac 0.000 0.259 0.750
B1 B 0.000 0.272 0.033
B2 B 0.000 0.356 0.157
B3 B 0.000 0.459 0.132
B4 B 0.000 0.474 0.750
Ru1 Ru 0.000 0.071 0.750
```

The 10 most intense peaks (15° ≤ 2θ ≤ 90°), sorted by position:
Position (°2θ)	I (rel.)
20.0	49
24.7	82
27.1	79
27.7	60
30.2	71
31.8	62
35.8	100
36.0	65
44.7	41
52.3	39

=====

# Ga2SiPd4
Calculated X-ray diffraction stick pattern, Cu Kα (λ = 1.5418 Å). Input: a PBE-relaxed structure.

Structure:
```
data_Ga2SiPd4
_cell_length_a 7.115
_cell_length_b 7.671
_cell_length_c 4.020
_cell_angle_alpha 90.00
_cell_angle_beta 90.00
_cell_angle_gamma 90.00
_symmetry_space_group_name_H-M 'C m m m'
_symmetry_Int_Tables_number 65
_symmetry_space_group_name_Hall '-C 2 2'
loop_
_atom_site_label
_atom_site_type_symbol
_atom_site_fract_x
_atom_site_fract_y
_atom_site_fract_z
Ga1 Ga 0.000 0.191 0.000
Si1 Si 0.000 0.500 0.500
Pd1 Pd 0.203 0.500 0.000
Pd2 Pd 0.250 0.250 0.500
```

The 10 most intense peaks (15° ≤ 2θ ≤ 90°), sorted by position:
Position (°2θ)	I (rel.)
25.0	16
32.3	31
37.4	12
41.3	100
45.1	25
46.0	16
47.4	13
51.4	11
54.3	10
80.6	14

=====

# PmBeAu3
Calculated X-ray diffraction stick pattern, Cu Kα (λ = 1.5418 Å). Input: a PBE-relaxed structure.

Structure:
```
data_PmBeAu3
_cell_length_a 4.316
_cell_length_b 4.316
_cell_length_c 10.428
_cell_angle_alpha 90.00
_cell_angle_beta 90.00
_cell_angle_gamma 90.00
_symmetry_space_group_name_H-M 'I 4 m m'
_symmetry_Int_Tables_number 107
_symmetry_space_group_name_Hall 'I 4 -2'
loop_
_atom_site_label
_atom_site_type_symbol
_atom_site_fract_x
_atom_site_fract_y
_atom_site_fract_z
Pm1 Pm 0.000 0.000 0.000
Be1 Be 0.000 0.000 0.368
Au1 Au 0.000 0.000 0.584
Au2 Au 0.000 0.500 0.270
```

The 10 most intense peaks (15° ≤ 2θ ≤ 90°), sorted by position:
Position (°2θ)	I (rel.)
33.1	14
34.0	100
34.4	15
41.9	34
45.8	9
48.5	9
55.3	15
60.7	12
65.9	7
71.4	24